[1]
ZrAs2Ir: theoretical powder X-ray diffraction pattern (Cu Ka), based on a PBE-relaxed structure.
Lines closer than 0.1° are merged.

Cell and atoms:
Cell lengths 3.5972, 3.7090, 10.6327 Å; angles 90.00, 90.00, 90.00 degrees
Space group Imm2 (No. 44)
One atom of each set of equivalent atoms:
Zr1 0.0000 0.0000 0.0000
As1 0.0000 0.0000 0.5805
As2 0.0000 0.5000 0.8119
Ir1 0.0000 0.5000 0.2502

Main lines, by angle (10° ≤ 2θ ≤ 80°):
2θ/deg	Rel. int.	hkl
16.68	15	0 0 2
25.43	23	0 1 1
33.72	20	0 0 4
35.02	13	0 1 3
35.56	23	1 0 3
38.77	100	1 1 2
49.14	21	0 2 0
49.40	12	0 1 5
49.81	13	1 0 5
50.76	14	2 0 0

***

[2]
K5As: theoretical powder X-ray diffraction pattern (Cu Ka), based on a PBE-relaxed structure.
Lines closer than 0.1° are merged.

Cell and atoms:
Cell lengths 7.8521, 7.8521, 5.5964 Å; angles 90.00, 90.00, 120.00 degrees
Space group P-62m (No. 189)
One atom of each set of equivalent atoms:
K1 0.0000 0.7407 0.0000
K2 0.3333 0.6667 0.5000
As1 0.0000 0.0000 0.5000

Main lines, by angle (10° ≤ 2θ ≤ 80°):
2θ/deg	Rel. int.	hkl
13.02	31	1 0 0
22.65	35	1 1 0
27.76	100	1 1 1
31.98	18	0 0 2
38.55	18	2 1 1
39.55	15	1 1 2
39.77	17	3 0 0
49.19	15	2 2 1
51.91	14	3 0 2
54.46	13	1 1 3

***

[3]
KAs5: theoretical powder X-ray diffraction pattern (Cu Ka), based on a PBE-relaxed structure.
Lines closer than 0.1° are merged.

Cell and atoms:
Cell lengths 6.8969, 6.8969, 3.6592 Å; angles 90.00, 90.00, 120.00 degrees
Space group P6/mmm (No. 191)
One atom of each set of equivalent atoms:
K1 0.0000 0.0000 0.0000
As1 0.0000 0.5000 0.5000
As2 0.3333 0.6667 0.0000

Main lines, by angle (10° ≤ 2θ ≤ 80°):
2θ/deg	Rel. int.	hkl
14.83	75	1 0 0
25.84	23	1 1 0
29.92	42	2 0 0
35.78	100	1 1 1
38.93	77	2 0 1
49.84	16	0 0 2
52.31	39	3 0 1
53.12	38	2 2 0
75.81	26	2 2 2
77.78	24	4 1 1

***

[4]
K5As4: theoretical powder X-ray diffraction pattern (Cu Ka), based on a PBE-relaxed structure.
Lines closer than 0.1° are merged.

Cell and atoms:
Cell lengths 6.3616, 6.5600, 8.1269 Å; angles 70.65, 87.40, 88.12 degrees
Space group P-1 (No. 2)
One atom of each set of equivalent atoms:
K1 0.0000 0.0000 0.0000
K2 0.2324 0.1986 0.4760
K3 0.3357 0.4974 0.7900
As1 0.2623 0.7527 0.3457
As2 0.4842 0.0337 0.1435

Main lines, by angle (10° ≤ 2θ ≤ 80°):
2θ/deg	Rel. int.	hkl
13.94	94	1 0 0
14.31	68	0 1 0
15.14	100	0 1 1
20.19	55	1 -1 0
26.73	80	1 0 2
30.86	57	2 0 -1
31.24	66	0 1 -2
34.33	52	-1 2 2
34.66	54	0 2 -1
35.57	90	1 1 3

***

[5]
K5As3: theoretical powder X-ray diffraction pattern (Cu Ka), based on a PBE-relaxed structure.
Lines closer than 0.1° are merged.

Cell and atoms:
Cell lengths 6.3821, 9.9596, 9.9608 Å; angles 84.12, 71.32, 71.34 degrees
Space group P-1 (No. 2)
One atom of each set of equivalent atoms:
K1 0.0826 0.2095 0.1246
K2 0.2071 0.3755 0.7095
K3 0.2497 0.0004 0.4996
K4 0.2737 0.8183 0.1346
K5 0.4085 0.3651 0.3183
As1 0.1543 0.6854 0.5057
As2 0.3173 0.5000 0.0000
As3 0.3392 0.0056 0.8148

Main lines, by angle (10° ≤ 2θ ≤ 80°):
2θ/deg	Rel. int.	hkl
20.37	25	1 0 -1
21.05	14	0 2 1
27.87	37	1 0 3
27.96	15	2 1 1
29.95	52	0 1 3
31.01	100	1 2 -2
33.91	13	2 -1 1
39.02	43	2 -1 3
51.40	16	3 0 -1
57.55	25	1 4 5

***

[6]
K3As: theoretical powder X-ray diffraction pattern (Cu Ka), based on a PBE-relaxed structure.
Lines closer than 0.1° are merged.

Cell and atoms:
Cell lengths 6.5715, 5.1658, 7.4911 Å; angles 90.00, 115.89, 90.00 degrees
Space group P2/m (No. 10)
One atom of each set of equivalent atoms:
K1 0.0000 0.0000 0.0000
K2 0.3569 0.5000 0.7134
As1 0.5000 0.0000 0.0000

Main lines, by angle (10° ≤ 2θ ≤ 80°):
2θ/deg	Rel. int.	hkl
13.14	84	0 0 1
15.00	95	1 0 0
21.68	100	0 1 1
27.14	61	2 0 -1
29.65	58	1 1 1
31.70	72	0 1 2
34.73	30	0 2 0
35.00	56	2 1 -2
42.21	62	2 1 1
44.62	28	2 2 -1

***

[7]
K7As6: theoretical powder X-ray diffraction pattern (Cu Ka), based on a PBE-relaxed structure.
Lines closer than 0.1° are merged.

Cell and atoms:
Cell lengths 9.1268, 9.1268, 24.5649 Å; angles 90.00, 90.00, 120.00 degrees
Space group R-3m (No. 166, hexagonal axes)
One atom of each set of equivalent atoms:
K1 0.0000 0.0000 0.0000
K2 0.0526 0.5263 0.4288
As1 0.0000 0.0000 0.1365
As2 0.0000 0.0000 0.3477
As3 0.0000 0.0000 0.4388

Main lines, by angle (10° ≤ 2θ ≤ 80°):
2θ/deg	Rel. int.	hkl
19.45	100	1 1 0
22.79	30	0 2 1
26.83	16	0 2 4
33.35	24	2 1 4
34.03	20	3 0 0
34.17	20	0 2 7
38.40	25	1 0 10
39.49	37	2 2 0
53.12	19	4 1 0
63.82	15	3 2 10

***

[8]
K5As: theoretical powder X-ray diffraction pattern (Cu Ka), based on a PBE-relaxed structure.
Lines closer than 0.1° are merged.

Cell and atoms:
Cell lengths 5.5800, 17.3323, 5.7136 Å; angles 90.00, 90.00, 90.00 degrees
Space group Cmmm (No. 65)
One atom of each set of equivalent atoms:
K1 0.0000 0.0000 0.0000
K2 0.0000 0.1328 0.5000
K3 0.0000 0.3606 0.0000
As1 0.0000 0.5000 0.5000

Main lines, by angle (10° ≤ 2θ ≤ 80°):
2θ/deg	Rel. int.	hkl
10.21	34	0 2 0
27.15	100	1 3 1
30.96	9	0 6 0
31.31	21	0 0 2
32.08	19	2 0 0
34.26	28	1 5 1
45.44	13	2 0 2
53.24	13	1 3 3
54.24	12	3 3 1
63.47	9	1 11 1